No. 1
This entry pairs a crystal structure of Tl2PdCl4 with its calculated powder XRD pattern. Radiation: a wavelength of 1.5418 Å. Structure: a PBE-relaxed structure.
Peak positions follow from Bragg's law for the DFT cell and can differ from measured ones.

Main lines, low angle first (2θ from 10° to 90°):
| 2theta | intensity |
| --- | --- |
| 17.47 | 45 |
| 24.80 | 32 |
| 27.46 | 100 |
| 32.73 | 45 |
| 35.36 | 41 |
| 45.35 | 50 |

```
data_Tl2PdCl4
_chemical_formula_sum 'Tl2 Pd1 Cl4'
_cell_length_a 4.227
_cell_length_b 7.180
_cell_length_c 7.178
_cell_angle_alpha 90.00
_cell_angle_beta 90.00
_cell_angle_gamma 90.00
_space_group_name_H-M_alt 'P 1'
_space_group_IT_number 1
loop_
_space_group_symop_operation_xyz
'x,y,z'
loop_
_atom_site_label
_atom_site_type_symbol
_atom_site_fract_x
_atom_site_fract_y
_atom_site_fract_z
Tl1 Tl 0.000 0.000 0.000
Tl2 Tl 0.000 0.500 0.499
Pd1 Pd 0.500 0.000 0.501
Cl1 Cl 0.500 0.229 0.272
Cl2 Cl 0.500 0.229 0.730
Cl3 Cl 0.500 0.771 0.272
Cl4 Cl 0.500 0.771 0.730
```

No. 2
This entry pairs a crystal structure of TmPd3Cl with its calculated powder XRD pattern. Radiation: a wavelength of 1.5418 Å. Structure: a PBE-relaxed structure.
Peak positions follow from Bragg's law for the DFT cell and can differ from measured ones.

Main lines, low angle first (2θ from 10° to 90°):
| 2theta | intensity |
| --- | --- |
| 27.06 | 11 |
| 33.31 | 100 |
| 38.65 | 66 |
| 55.81 | 45 |
| 66.56 | 40 |
| 69.94 | 15 |

```
data_TmPd3Cl
_chemical_formula_sum 'Tm1 Pd3 Cl1'
_cell_length_a 4.659
_cell_length_b 4.659
_cell_length_c 4.659
_cell_angle_alpha 90.00
_cell_angle_beta 90.00
_cell_angle_gamma 90.00
_space_group_name_H-M_alt 'P 1'
_space_group_IT_number 1
loop_
_space_group_symop_operation_xyz
'x,y,z'
loop_
_atom_site_label
_atom_site_type_symbol
_atom_site_fract_x
_atom_site_fract_y
_atom_site_fract_z
Tm1 Tm 0.000 0.000 0.000
Pd1 Pd 0.000 0.500 0.500
Pd2 Pd 0.500 0.000 0.500
Pd3 Pd 0.500 0.500 0.000
Cl1 Cl 0.500 0.500 0.500
```

No. 3
This entry pairs a crystal structure of PmSCl with its calculated powder XRD pattern. Radiation: a wavelength of 1.5418 Å. Structure: a PBE-relaxed structure.
Peak positions follow from Bragg's law for the DFT cell and can differ from measured ones.

Main lines, low angle first (2θ from 10° to 90°):
| 2theta | intensity |
| --- | --- |
| 14.58 | 51 |
| 20.81 | 100 |
| 24.47 | 98 |
| 27.13 | 38 |
| 33.15 | 56 |
| 37.61 | 66 |

```
data_PmSCl
_chemical_formula_sum 'Pm4 S4 Cl4'
_cell_length_a 7.991
_cell_length_b 7.018
_cell_length_c 8.699
_cell_angle_alpha 59.99
_cell_angle_beta 49.51
_cell_angle_gamma 70.50
_space_group_name_H-M_alt 'P 1'
_space_group_IT_number 1
loop_
_space_group_symop_operation_xyz
'x,y,z'
loop_
_atom_site_label
_atom_site_type_symbol
_atom_site_fract_x
_atom_site_fract_y
_atom_site_fract_z
Pm1 Pm 0.172 0.828 0.285
Pm2 Pm 0.535 0.965 0.422
Pm3 Pm 0.828 0.172 0.715
Pm4 Pm 0.965 0.535 0.078
S1 S 0.123 0.818 0.635
S2 S 0.615 0.826 0.127
S3 S 0.818 0.123 0.424
S4 S 0.826 0.615 0.432
Cl1 Cl 0.244 0.346 0.479
Cl2 Cl 0.320 0.771 0.904
Cl3 Cl 0.346 0.244 0.930
Cl4 Cl 0.771 0.320 0.006
```

No. 4
This entry pairs a crystal structure of Pm7SiCl12 with its calculated powder XRD pattern. Radiation: a wavelength of 1.5418 Å. Structure: a PBE-relaxed structure.
Peak positions follow from Bragg's law for the DFT cell and can differ from measured ones.

Main lines, low angle first (2θ from 10° to 90°):
| 2theta | intensity |
| --- | --- |
| 11.45 | 21 |
| 12.20 | 55 |
| 27.16 | 26 |
| 31.50 | 100 |
| 45.07 | 35 |
| 45.24 | 35 |

```
data_Pm7SiCl12
_chemical_formula_sum 'Pm7 Si1 Cl12'
_cell_length_a 8.990
_cell_length_b 8.990
_cell_length_c 8.990
_cell_angle_alpha 107.57
_cell_angle_beta 107.57
_cell_angle_gamma 107.57
_space_group_name_H-M_alt 'P 1'
_space_group_IT_number 1
loop_
_space_group_symop_operation_xyz
'x,y,z'
loop_
_atom_site_label
_atom_site_type_symbol
_atom_site_fract_x
_atom_site_fract_y
_atom_site_fract_z
Pm1 Pm 0.000 0.000 0.000
Pm2 Pm 0.168 0.469 0.386
Pm3 Pm 0.386 0.168 0.469
Pm4 Pm 0.469 0.386 0.168
Pm5 Pm 0.531 0.614 0.832
Pm6 Pm 0.614 0.832 0.531
Pm7 Pm 0.832 0.531 0.614
Si1 Si 0.500 0.500 0.500
Cl1 Cl 0.030 0.114 0.337
Cl2 Cl 0.114 0.337 0.030
Cl3 Cl 0.189 0.578 0.725
Cl4 Cl 0.275 0.811 0.422
Cl5 Cl 0.337 0.030 0.114
Cl6 Cl 0.422 0.275 0.811
Cl7 Cl 0.578 0.725 0.189
Cl8 Cl 0.663 0.970 0.886
Cl9 Cl 0.725 0.189 0.578
Cl10 Cl 0.811 0.422 0.275
Cl11 Cl 0.886 0.663 0.970
Cl12 Cl 0.970 0.886 0.663
```

Question: Which formula does entry 1 have?
Answer: Tl2PdCl4